Theoretical powder diffractogram of Tb2Pr2Ho3 for a wavelength of 1.5418 Å, from a GGA-PBE-relaxed structure.
No peak broadening, texture or thermal motion is included.

Atomic structure:
```
Tb2Pr2Ho3
1.0
8.820 -1.760 0.000
8.820 1.760 0.000
-4.172 0.000 7.508
Tb Pr Ho
2 2 3
Direct
0.151 0.151 0.465
0.849 0.849 0.535
0.432 0.432 0.278
0.568 0.568 0.722
0.000 0.000 0.000
0.212 0.212 0.124
0.788 0.788 0.876
```

Most intense lines, 2θ from 10° to 90°, in order of rising 2θ:
2theta, I_rel
27.4, 41
29.8, 41
30.8, 100
31.2, 77
31.8, 64
33.4, 77
36.1, 35
38.8, 28
54.6, 40
61.9, 24